Diffraction record for Ba3NaTl4. The XRD peak list is calculated, not measured: it uses a DFT-relaxed cell (GGA-PBE, Alexandria) and Cu Kα (λ = 1.5418 Å).

Most intense lines, 2θ = 15–90°, by angle:
hkl	2theta	d (Å)	I/Imax
1 0 0	21.3	4.178	13
1 0 3	26.6	3.351	12
1 0 4	30.1	2.965	100
1 1 0	30.3	2.954	58
2 0 0	43.3	2.089	23
1 1 7	48.8	1.865	9
1 1 8	53.5	1.714	13
2 1 4	53.7	1.708	40
2 2 0	62.9	1.477	8
3 1 0	71.4	1.322	19
2 1 11	81.2	1.184	9
3 2 4	87.3	1.117	11

Cell and atoms:
```
8
Lattice="4.178 0.000 0.000 0.000 4.178 0.000 0.000 0.000 16.839" Properties=species:S:1:pos:R:3 pbc="T T T"
Ba 0.000 0.000 0.000
Ba 0.000 0.000 4.401
Ba 0.000 0.000 12.438
Na 0.000 0.000 8.419
Tl 2.089 2.089 2.148
Tl 2.089 2.089 6.738
Tl 2.089 2.089 10.101
Tl 2.089 2.089 14.691
```